# 1
Structure and theoretical XRD peak list of Ho3PaRu4 (DFT lattice parameters and positions (PBE); λ = 1.5418 Å (Cu Kα)).

Lattice parameters (Å, degrees): 14.260 4.812 4.816 90.00 107.47 90.00
Space group C2/m (No. 12)
Symmetry-distinct sites (fractional):
Ho  0.000  0.000  0.000 x2
Ho  0.248  0.000  0.245 x4
Pa  0.000  0.500  0.500 x2
Ru  0.117  0.000  0.615 x4
Ru  0.117  0.500  0.139 x4

The 12 most intense peaks (2θ from 15° to 90°), by angle:
26.2 deg, I 26; 36.8 deg, I 100; 37.4 deg, I 96; 37.9 deg, I 91; 53.9 deg, I 49; 66.4 deg, I 18; 67.1 deg, I 17; 67.5 deg, I 16; 67.8 deg, I 16; 68.5 deg, I 15; 78.4 deg, I 11; 79.7 deg, I 10

***

# 2
Structure and theoretical XRD peak list of Ho2Pa2Ru5 (DFT lattice parameters and positions (PBE); λ = 1.5418 Å (Cu Kα)).

Lattice parameters (Å, degrees): 11.892 5.363 7.469 90.00 126.34 90.00
Space group C2/m (No. 12)
Symmetry-distinct sites (fractional):
Ho  0.143  0.000  0.316 x4
Pa  0.147  0.500  0.921 x4
Ru  0.000  0.500  0.500 x2
Ru  0.111  0.500  0.248 x4
Ru  0.140  0.000  0.719 x4

The 12 most intense peaks (2θ from 15° to 90°), by angle:
23.8 deg, I 26; 27.3 deg, I 25; 28.0 deg, I 58; 31.0 deg, I 72; 33.4 deg, I 100; 36.9 deg, I 28; 37.6 deg, I 40; 42.6 deg, I 30; 43.7 deg, I 46; 46.2 deg, I 28; 50.7 deg, I 22; 51.1 deg, I 33